Computed X-ray powder pattern
Compound: BaO10
Radiation: λ = 1.5418 Å (Cu Kα)
Structure: a structure optimized by DFT (GGA-PBE)
Intensities are scaled so that the largest is 1000.

Most intense lines, 10° ≤ 2θ ≤ 80°, in order of rising 2θ:
2theta  Rel. int.
15.0  634
21.2  232
23.9  368
28.3  1000
30.2  292
35.1  192
35.7  314
38.9  318
48.6  261
51.5  169

Unit cell a=5.9253 b=5.9253 c=9.5567 alpha=90.00 beta=90.00 gamma=90.00
Sites, in units of the cell vectors:
Ba 0.0000 0.0000 0.2500
Ba 0.0000 0.0000 0.7500
O 0.1061 0.3573 0.0666
O 0.1061 0.3573 0.9334
O 0.1061 0.6427 0.4334
O 0.1061 0.6427 0.5666
O 0.3573 0.1061 0.4334
O 0.3573 0.1061 0.5666
O 0.3573 0.8939 0.0666
O 0.3573 0.8939 0.9334
O 0.5000 0.5000 0.1846
O 0.5000 0.5000 0.3154
O 0.5000 0.5000 0.6846
O 0.5000 0.5000 0.8154
O 0.6427 0.1061 0.0666
O 0.6427 0.1061 0.9334
O 0.6427 0.8939 0.4334
O 0.6427 0.8939 0.5666
O 0.8939 0.3573 0.4334
O 0.8939 0.3573 0.5666
O 0.8939 0.6427 0.0666
O 0.8939 0.6427 0.9334

Computed X-ray powder pattern
Compound: CdPS3
Radiation: λ = 1.5418 Å (Cu Kα)
Structure: a structure optimized by DFT (GGA-PBE)
Intensities are scaled so that the largest is 1000.

Most intense lines, 10° ≤ 2θ ≤ 80°, in order of rising 2θ:
2theta  Rel. int.
12.1  1000
28.6  375
29.4  80
32.7  428
32.9  280
35.1  81
40.5  109
43.9  128
50.2  224
51.8  95

Unit cell a=6.2995 b=6.2995 c=7.5930 alpha=97.72 beta=97.72 gamma=120.01
Sites, in units of the cell vectors:
Cd 0.1668 0.8332 0.0000
Cd 0.8332 0.1668 0.0000
P 0.4500 0.4500 0.8457
P 0.5500 0.5500 0.1543
S 0.1137 0.4245 0.7666
S 0.2643 0.2643 0.2329
S 0.4245 0.1137 0.7666
S 0.5755 0.8863 0.2334
S 0.7357 0.7357 0.7671
S 0.8863 0.5755 0.2334

Computed X-ray powder pattern
Compound: LaNb3O9
Radiation: λ = 1.5418 Å (Cu Kα)
Structure: a structure optimized by DFT (GGA-PBE)
Intensities are scaled so that the largest is 1000.

Most intense lines, 10° ≤ 2θ ≤ 80°, in order of rising 2θ:
2theta  Rel. int.
11.0  402
22.3  255
22.4  191
25.0  353
31.7  1000
31.8  524
45.1  197
45.6  412
56.3  210
56.6  393

Unit cell a=5.6213 b=8.8903 c=8.9647 alpha=66.61 beta=71.74 gamma=71.60
Sites, in units of the cell vectors:
La 0.0000 0.0000 0.0000
La 0.3343 0.3229 0.9998
Nb 0.0798 0.5809 0.2512
Nb 0.2531 0.7417 0.7496
Nb 0.4117 0.9034 0.2661
Nb 0.5916 0.0713 0.7420
Nb 0.7386 0.2533 0.2586
Nb 0.9190 0.4215 0.7342
O 0.0831 0.5694 0.7647
O 0.0873 0.0886 0.2235
O 0.1618 0.6629 0.9985
O 0.2322 0.2409 0.7753
O 0.2410 0.7607 0.2292
O 0.3255 0.8311 0.5015
O 0.3912 0.9171 0.7657
O 0.4100 0.4122 0.2321
O 0.4839 0.0152 0.9968
O 0.5655 0.5681 0.7694
O 0.5862 0.0885 0.2235
O 0.6576 0.1662 0.4992
O 0.7327 0.2424 0.7730
O 0.7581 0.7628 0.2297
O 0.8335 0.3159 0.0003
O 0.9125 0.9166 0.7690
O 0.9302 0.4123 0.2335
O 0.9933 0.4968 0.4962

Computed X-ray powder pattern
Compound: Sr4TlCu2BiO10
Radiation: λ = 1.5418 Å (Cu Kα)
Structure: a structure optimized by DFT (GGA-PBE)
Intensities are scaled so that the largest is 1000.

Most intense lines, 10° ≤ 2θ ≤ 80°, in order of rising 2θ:
2theta  Rel. int.
25.7  328
30.9  1000
33.9  624
39.5  191
45.4  240
48.7  282
53.0  235
56.0  133
58.8  340
64.4  146

Unit cell a=9.8687 b=9.8687 c=9.8687 alpha=148.91 beta=148.91 gamma=44.54
Sites, in units of the cell vectors:
Sr 0.1480 0.6480 0.5000
Sr 0.3520 0.8520 0.5000
Sr 0.6480 0.1480 0.5000
Sr 0.8520 0.3520 0.5000
Tl 0.0000 0.0000 0.0000
Cu 0.2529 0.2529 0.0000
Cu 0.7471 0.7471 0.0000
Bi 0.5000 0.5000 0.0000
O 0.0000 0.0000 0.5000
O 0.0000 0.5000 0.0000
O 0.0000 0.5000 0.5000
O 0.1141 0.1141 0.0000
O 0.3796 0.3796 0.0000
O 0.5000 0.0000 0.0000
O 0.5000 0.0000 0.5000
O 0.5000 0.5000 0.5000
O 0.6204 0.6204 0.0000
O 0.8859 0.8859 0.0000

Computed X-ray powder pattern
Compound: KAs
Radiation: λ = 1.5418 Å (Cu Kα)
Structure: a structure optimized by DFT (GGA-PBE)
Intensities are scaled so that the largest is 1000.

Most intense lines, 10° ≤ 2θ ≤ 80°, in order of rising 2θ:
2theta  Rel. int.
15.1  1000
20.3  485
27.3  245
29.6  871
30.2  187
31.2  299
33.4  381
35.7  226
38.1  244
38.9  248

Unit cell a=6.5613 b=6.8035 c=11.7616 alpha=90.00 beta=90.00 gamma=90.00
Sites, in units of the cell vectors:
K 0.0996 0.1063 0.4191
K 0.1663 0.3520 0.7890
K 0.3337 0.6480 0.2890
K 0.4004 0.8937 0.9191
K 0.5996 0.3937 0.5809
K 0.6663 0.1480 0.2110
K 0.8337 0.8520 0.7110
K 0.9004 0.6063 0.0809
As 0.0929 0.5648 0.5331
As 0.1678 0.1805 0.1116
As 0.3322 0.8195 0.6116
As 0.4071 0.4352 0.0331
As 0.5929 0.9352 0.4669
As 0.6678 0.3195 0.8884
As 0.8322 0.6805 0.3884
As 0.9071 0.0648 0.9669